Simulated powder XRD pattern
Compound: Th4Pt2Se3
Radiation: Cu Ka
Structure: DFT lattice parameters and positions (GGA-PBE)

Main lines, in order of rising 2θ (2θ = 5–70°):
d (Å), Position (°2θ), Rel. int., h k l
4.320, 20.56, 14.1, 1 0 1
3.809, 23.36, 13.8, 0 1 0
3.741, 23.78, 33.5, 0 0 2
2.669, 33.58, 100.0, 2 1 -2
2.271, 39.69, 16.4, 1 1 2
2.160, 41.82, 44.8, 4 0 -2
1.904, 47.76, 11.5, 0 2 0
1.879, 48.45, 10.8, 2 1 -4
1.679, 54.66, 22.5, 4 1 0
1.429, 65.32, 24.4, 4 2 -2

Structure:
```
data_Th4Pt2Se3
_symmetry_space_group_name_H-M 'P 1 m 1'
_symmetry_Int_Tables_number 6
_symmetry_space_group_name_Hall 'P -2y'
_cell_length_a 8.637
_cell_length_b 3.809
_cell_length_c 8.640
_cell_angle_alpha 90.00
_cell_angle_beta 119.96
_cell_angle_gamma 90.00
loop_
_atom_site_label
_atom_site_fract_x
_atom_site_fract_y
_atom_site_fract_z
Th1 0.000 0.000 0.000
Th2 0.004 0.000 0.458
Th3 0.457 0.000 0.453
Th4 0.487 0.000 0.970
Pt1 0.154 0.500 0.304
Pt2 0.820 0.000 0.637
Se1 0.180 0.500 0.814
Se2 0.638 0.500 0.278
Se3 0.644 0.500 0.820
```

***

Simulated powder XRD pattern
Compound: Fe2PdI4Br4
Radiation: Cu Ka
Structure: DFT lattice parameters and positions (GGA-PBE)

Main lines, in order of rising 2θ (2θ = 5–70°):
d (Å), Position (°2θ), Rel. int., h k l
7.586, 11.67, 32.2, 1 1 0
5.534, 16.02, 43.9, 1 1 -1
4.581, 19.37, 70.6, 0 2 0
3.792, 23.46, 68.3, 3 1 -1
3.508, 25.39, 25.1, 2 2 -1
3.468, 25.68, 53.7, 2 0 -2
3.237, 27.55, 100.0, 2 2 1
2.147, 42.08, 46.3, 0 2 3
2.023, 44.81, 36.0, 5 3 0
1.940, 46.82, 28.9, 5 1 -3

Structure:
```
data_Fe2PdI4Br4
_symmetry_space_group_name_H-M 'C 1 2/m 1'
_symmetry_Int_Tables_number 12
_symmetry_space_group_name_Hall '-C 2y'
_cell_length_a 13.692
_cell_length_b 9.177
_cell_length_c 7.402
_cell_angle_alpha 90.00
_cell_angle_beta 100.03
_cell_angle_gamma 90.00
loop_
_atom_site_label
_atom_site_fract_x
_atom_site_fract_y
_atom_site_fract_z
Fe1 0.199 0.000 0.335
Pd1 0.000 0.000 0.000
I1 0.125 0.500 0.703
I2 0.183 0.000 0.667
Br1 0.106 0.196 0.163
```

***

Simulated powder XRD pattern
Compound: GdEr2NiIr2Pb3
Radiation: Cu Ka
Structure: DFT lattice parameters and positions (GGA-PBE)

Main lines, in order of rising 2θ (2θ = 5–70°):
d (Å), Position (°2θ), Rel. int., h k l
2.694, 33.25, 100.0, 1 0 2
2.539, 35.35, 43.1, 0 5 1
2.531, 35.47, 20.6, 0 1 3
2.500, 35.92, 70.1, 1 2 2
2.242, 40.23, 12.9, 0 6 0
2.234, 40.37, 25.7, 0 3 3
2.102, 43.02, 18.7, 1 5 1
1.875, 48.56, 21.3, 2 0 0
1.508, 61.50, 26.5, 2 5 1
1.426, 65.48, 21.7, 1 8 2

Structure:
```
data_GdEr2NiIr2Pb3
_symmetry_space_group_name_H-M 'A m m 2'
_symmetry_Int_Tables_number 38
_symmetry_space_group_name_Hall 'A 2 -2'
_cell_length_a 3.750
_cell_length_b 13.451
_cell_length_c 7.732
_cell_angle_alpha 90.00
_cell_angle_beta 90.00
_cell_angle_gamma 90.00
loop_
_atom_site_label
_atom_site_fract_x
_atom_site_fract_y
_atom_site_fract_z
Gd1 0.000 0.000 0.000
Er1 0.000 0.204 0.613
Ni1 0.000 0.000 0.410
Ir1 0.500 0.169 0.907
Pb1 0.500 0.000 0.666
Pb2 0.500 0.129 0.280
```

***

Simulated powder XRD pattern
Compound: Cu2Ag3
Radiation: Cu Ka
Structure: DFT lattice parameters and positions (GGA-PBE)

Main lines, in order of rising 2θ (2θ = 5–70°):
d (Å), Position (°2θ), Rel. int., h k l
2.553, 35.16, 7.1, 6 0 1
2.310, 39.00, 52.8, 6 0 -2
2.304, 39.09, 49.1, 4 0 2
2.262, 39.86, 100.0, 5 1 0
2.059, 43.98, 73.0, 1 1 -2
1.841, 49.51, 23.3, 10 0 0
1.480, 62.79, 10.0, 2 0 -4
1.433, 65.09, 11.2, 0 2 0
1.374, 68.28, 17.4, 11 1 -2
1.371, 68.41, 14.3, 9 1 2

Structure:
```
data_Cu2Ag3
_symmetry_space_group_name_H-M 'C 1 m 1'
_symmetry_Int_Tables_number 8
_symmetry_space_group_name_Hall 'C -2y'
_cell_length_a 18.655
_cell_length_b 2.866
_cell_length_c 5.919
_cell_angle_alpha 90.00
_cell_angle_beta 99.26
_cell_angle_gamma 90.00
loop_
_atom_site_label
_atom_site_fract_x
_atom_site_fract_y
_atom_site_fract_z
Cu1 0.000 0.000 0.000
Cu2 0.092 0.500 0.279
Cu3 0.187 0.000 0.553
Cu4 0.394 0.000 0.150
Ag1 0.090 0.500 0.764
Ag2 0.188 0.000 0.089
Ag3 0.287 0.500 0.861
Ag4 0.300 0.500 0.376
Ag5 0.403 0.000 0.704
Ag6 0.490 0.500 0.441
```

***

Simulated powder XRD pattern
Compound: BaZn2Ge
Radiation: Cu Ka
Structure: DFT lattice parameters and positions (GGA-PBE)

Main lines, in order of rising 2θ (2θ = 5–70°):
d (Å), Position (°2θ), Rel. int., h k l
4.916, 18.05, 18.6, 0 1 1
3.558, 25.02, 26.5, 1 1 0
3.314, 26.90, 22.2, 0 1 2
3.173, 28.12, 22.3, 0 2 0
2.624, 34.16, 100.0, 1 1 2
2.553, 35.16, 26.6, 1 2 0
2.458, 36.56, 23.8, 0 2 2
2.149, 42.05, 22.8, 2 0 0
1.943, 46.75, 16.8, 0 0 4
1.705, 53.75, 34.1, 1 3 2

Structure:
```
data_BaZn2Ge
_symmetry_space_group_name_H-M 'P 2 2 21'
_symmetry_Int_Tables_number 17
_symmetry_space_group_name_Hall 'P 2c 2'
_cell_length_a 4.297
_cell_length_b 6.346
_cell_length_c 7.773
_cell_angle_alpha 90.00
_cell_angle_beta 90.00
_cell_angle_gamma 90.00
loop_
_atom_site_label
_atom_site_fract_x
_atom_site_fract_y
_atom_site_fract_z
Ba1 0.001 0.000 0.000
Zn1 0.000 0.498 0.250
Zn2 0.486 0.500 0.000
Ge1 0.500 0.253 0.750
```

***

Simulated powder XRD pattern
Compound: Dy4Sc2Bi2Os
Radiation: Cu Ka
Structure: DFT lattice parameters and positions (GGA-PBE)

Main lines, in order of rising 2θ (2θ = 5–70°):
d (Å), Position (°2θ), Rel. int., h k l
4.040, 22.00, 42.4, 0 3 1
3.620, 24.60, 21.5, 1 1 1
2.921, 30.60, 100.0, 1 3 1
2.696, 33.23, 90.4, 1 2 2
2.645, 33.89, 29.7, 0 1 3
2.333, 38.60, 56.4, 0 6 0
2.242, 40.21, 52.3, 1 4 2
2.115, 42.76, 28.2, 2 0 0
1.567, 58.95, 33.4, 2 6 0
1.501, 61.81, 32.9, 1 8 2

Structure:
```
data_Dy4Sc2Bi2Os
_symmetry_space_group_name_H-M 'A m m 2'
_symmetry_Int_Tables_number 38
_symmetry_space_group_name_Hall 'A 2 -2'
_cell_length_a 4.229
_cell_length_b 13.997
_cell_length_c 8.079
_cell_angle_alpha 90.00
_cell_angle_beta 90.00
_cell_angle_gamma 90.00
loop_
_atom_site_label
_atom_site_fract_x
_atom_site_fract_y
_atom_site_fract_z
Dy1 0.000 0.000 0.000
Dy2 0.000 0.196 0.424
Dy3 0.500 0.000 0.390
Sc1 0.500 0.113 0.731
Bi1 0.500 0.169 0.114
Os1 0.000 0.000 0.633
```

***

Simulated powder XRD pattern
Compound: Gd5Re2Br3O10
Radiation: Cu Ka
Structure: DFT lattice parameters and positions (GGA-PBE)

Main lines, in order of rising 2θ (2θ = 5–70°):
d (Å), Position (°2θ), Rel. int., h k l
3.240, 27.53, 63.4, 3 1 0
2.881, 31.04, 43.6, 3 1 1
2.814, 31.80, 32.1, 4 0 -2
2.796, 32.01, 55.1, 0 2 0
2.720, 32.93, 100.0, 1 1 -3
1.985, 45.72, 50.1, 4 2 -2
1.853, 49.18, 24.2, 2 2 3
1.657, 55.45, 21.7, 7 1 -2
1.618, 56.90, 27.4, 5 1 3
1.576, 58.55, 20.5, 5 1 -5

Structure:
```
data_Gd5Re2Br3O10
_symmetry_space_group_name_H-M 'C 1 2/m 1'
_symmetry_Int_Tables_number 12
_symmetry_space_group_name_Hall '-C 2y'
_cell_length_a 12.270
_cell_length_b 5.592
_cell_length_c 9.340
_cell_angle_alpha 90.00
_cell_angle_beta 103.62
_cell_angle_gamma 90.00
loop_
_atom_site_label
_atom_site_fract_x
_atom_site_fract_y
_atom_site_fract_z
Gd1 0.000 0.000 0.000
Gd2 0.139 0.500 0.246
Gd3 0.187 0.500 0.888
Re1 0.023 0.000 0.640
Br1 0.000 0.500 0.500
Br2 0.206 0.000 0.387
O1 0.017 0.249 0.781
O2 0.157 0.253 0.063
O3 0.176 0.000 0.687
```

***

Simulated powder XRD pattern
Compound: HfMg2W
Radiation: Cu Ka
Structure: DFT lattice parameters and positions (GGA-PBE)

Main lines, in order of rising 2θ (2θ = 5–70°):
d (Å), Position (°2θ), Rel. int., h k l
3.891, 22.86, 66.6, 1 1 1
2.383, 37.76, 100.0, 2 2 0
2.032, 44.59, 35.4, 3 1 1
1.685, 54.46, 17.4, 4 0 0
1.546, 59.82, 15.1, 3 3 1
1.376, 68.17, 35.5, 4 2 2

Structure:
```
data_HfMg2W
_symmetry_space_group_name_H-M 'F -4 3 m'
_symmetry_Int_Tables_number 216
_symmetry_space_group_name_Hall 'F -4 2 3'
_cell_length_a 6.739
_cell_length_b 6.739
_cell_length_c 6.739
_cell_angle_alpha 90.00
_cell_angle_beta 90.00
_cell_angle_gamma 90.00
loop_
_atom_site_label
_atom_site_fract_x
_atom_site_fract_y
_atom_site_fract_z
Hf1 0.000 0.000 0.000
Mg1 0.000 0.000 0.500
Mg2 0.250 0.250 0.250
W1 0.250 0.250 0.750
```